Theoretical powder diffraction line list of TmNiC2O8 for CuKα, from DFT lattice parameters and positions (PBE+U).

Cell and atoms:
```
data_TmNiC2O8
_chemical_formula_sum 'Tm1 Ni1 C2 O8'
_cell_length_a 5.0569
_cell_length_b 5.0569
_cell_length_c 5.9748
_cell_angle_alpha 90.00
_cell_angle_beta 90.00
_cell_angle_gamma 120.00
_space_group_name_H-M_alt 'P -3 m 1'
_space_group_IT_number 164
_space_group_name_Hall '-P 3 2"'
loop_
_atom_site_label
_atom_site_type_symbol
_atom_site_fract_x
_atom_site_fract_y
_atom_site_fract_z
Tm1 Tm 0.0000 0.0000 0.0000
Ni1 Ni 0.0000 0.0000 0.5000
C1 C 0.3333 0.6667 0.6736
O1 O 0.1824 0.3648 0.7450
O2 O 0.3333 0.6667 0.4428
```

Largest 8 diffraction maxima, most intense first, 2θ = 10–80°:
20.28°, I 100, (1 0 0); 36.41°, I 51, (1 0 2); 25.21°, I 47, (1 0 1); 47.09°, I 37, (1 1 2); 35.50°, I 37, (1 1 0); 51.76°, I 27, (0 2 2); 55.52°, I 18, (2 1 0); 64.34°, I 15, (2 1 2)